This entry pairs a crystal structure of TbTl5I8 with its computed PXRD pattern. Radiation: copper Kα. Structure: a crystal structure in Alexandria, relaxed with PBE.
Lines closer than 0.1° are merged.

abc: 9.071 9.071 9.071
angles: 109.85 109.85 108.72
Fractional positions:
Tb 0.000 0.000 0.000
Tl 0.149 0.524 0.899
Tl 0.250 0.750 0.500
Tl 0.476 0.375 0.625
Tl 0.625 0.250 0.101
Tl 0.750 0.851 0.375
I 0.209 0.102 0.763
I 0.340 0.447 0.237
I 0.353 0.003 0.215
I 0.553 0.791 0.893
I 0.787 0.137 0.785
I 0.863 0.647 0.650
I 0.898 0.660 0.107
I 0.997 0.213 0.350

Main lines, sorted by position (2θ = 10–90°):
d_spacing	intensity
4.295	14
4.266	15
3.338	41
3.299	100
2.811	46
2.793	49
2.235	16
2.133	15
2.046	16
1.692	21